Theoretical powder XRD pattern
Compound: CeMg6Al
Radiation: Cu Kα (weighted mean of Kα1 and Kα2)
Structure: a DFT-relaxed cell (GGA-PBE, the Materials Project)

Structural model:
Unit cell a=5.2448 b=6.6067 c=11.8990 alpha=90.00 beta=90.00 gamma=90.00
Fractional coordinates of all 16 atoms:
Ce: 0.0000 0.0000 0.0000
Ce: 0.0000 0.5000 0.5000
Mg: 0.0000 0.2465 0.2493
Mg: 0.0000 0.2535 0.7493
Mg: 0.0000 0.7465 0.7493
Mg: 0.0000 0.7535 0.2493
Mg: 0.5000 0.0000 0.1682
Mg: 0.5000 0.0000 0.6609
Mg: 0.5000 0.2400 0.4128
Mg: 0.5000 0.2600 0.9128
Mg: 0.5000 0.5000 0.1609
Mg: 0.5000 0.5000 0.6682
Mg: 0.5000 0.7400 0.9128
Mg: 0.5000 0.7600 0.4128
Al: 0.0000 0.0000 0.4935
Al: 0.0000 0.5000 0.9935

Main lines, in order of rising 2θ (10 to 80 degrees two-theta):
| two_theta | d_spacing | intensity | h k l |
| --- | --- | --- | --- |
| 14.9 | 5.950 | 34 | 0 0 2 |
| 15.3 | 5.776 | 56 | 0 1 1 |
| 16.9 | 5.245 | 26 | 1 0 0 |
| 22.6 | 3.934 | 27 | 1 0 2 |
| 22.9 | 3.883 | 52 | 1 1 1 |
| 31.0 | 2.888 | 33 | 0 2 2 |
| 31.4 | 2.853 | 22 | 1 1 3 |
| 34.2 | 2.622 | 36 | 2 0 0 |
| 34.7 | 2.588 | 55 | 1 0 4 |
| 35.5 | 2.530 | 100 | 1 2 2 |
| 46.8 | 1.941 | 21 | 2 2 2 |
| 53.9 | 1.701 | 24 | 0 2 6 |